Starting from the GGA-PBE geometry in Alexandria, the powder XRD pattern of Cs3Nd2DyO6 was calculated for Cu Kα (λ = 1.5418 Å).
No peak broadening, texture or thermal motion is included.

Main lines, in order of rising 2θ (10 to 90 degrees two-theta):
two_theta, Rel. int.
25.70, 47
29.48, 89
33.11, 100
45.11, 37
49.86, 32
52.64, 23
56.93, 32
61.17, 16
75.58, 14
82.71, 14

Structural model:
abc: 6.3354 6.3354 7.2470
angles: 98.37 98.37 120.00
Sites, in units of the cell vectors:
Cs 0.0000 0.0000 0.0000
Cs 0.3341 0.6659 0.0000
Cs 0.6659 0.3341 0.0000
Nd 0.1667 0.8333 0.5000
Nd 0.8333 0.1667 0.5000
Dy 0.5000 0.5000 0.5000
O 0.1209 0.4441 0.3324
O 0.2327 0.2327 0.6682
O 0.4441 0.1209 0.3324
O 0.5559 0.8791 0.6676
O 0.7673 0.7673 0.3318
O 0.8791 0.5559 0.6676